This entry pairs a crystal structure of Pa2Si3Ru5 with its calculated X-ray powder pattern. Radiation: Cu Kα (weighted mean of Kα1 and Kα2). Structure: a cell relaxed with GGA-PBE.

Peak list (8 most intense, 10° ≤ 2θ ≤ 90°, low angle first)
2θ = 24.28°, rel. 20
2θ = 35.53°, rel. 33
2θ = 36.55°, rel. 56
2θ = 37.14°, rel. 100
2θ = 39.43°, rel. 25
2θ = 39.80°, rel. 38
2θ = 44.13°, rel. 40
2θ = 70.38°, rel. 22

Structural model:
abc: 12.392 12.392 6.448
angles: 90.00 90.00 160.93
Fractional coordinates of all 20 atoms:
Pa  0.012  0.988  0.500
Pa  0.325  0.675  0.505
Pa  0.675  0.325  0.005
Pa  0.988  0.012  0.000
Si  0.111  0.889  0.261
Si  0.272  0.728  0.016
Si  0.445  0.555  0.274
Si  0.555  0.445  0.774
Si  0.728  0.272  0.516
Si  0.889  0.111  0.761
Ru  0.103  0.897  0.847
Ru  0.206  0.794  0.727
Ru  0.209  0.791  0.310
Ru  0.370  0.630  0.009
Ru  0.444  0.556  0.653
Ru  0.556  0.444  0.153
Ru  0.630  0.370  0.509
Ru  0.791  0.209  0.810
Ru  0.794  0.206  0.227
Ru  0.897  0.103  0.347

---

This entry pairs a crystal structure of PmBiTe3 with its calculated X-ray powder pattern. Radiation: Cu Kα (weighted mean of Kα1 and Kα2). Structure: a cell relaxed with GGA-PBE.

Peak list (8 most intense, 10° ≤ 2θ ≤ 90°, low angle first)
2θ = 15.81°, rel. 33
2θ = 23.31°, rel. 28
2θ = 25.92°, rel. 74
2θ = 27.87°, rel. 32
2θ = 30.51°, rel. 100
2θ = 33.21°, rel. 49
2θ = 40.39°, rel. 92
2θ = 43.19°, rel. 30

Structural model:
abc: 11.428 11.428 7.799
angles: 90.00 90.00 157.49
Fractional coordinates of all 10 atoms:
Pm  0.164  0.836  0.500
Pm  0.836  0.164  0.000
Bi  0.350  0.650  0.497
Bi  0.650  0.350  0.997
Te  0.081  0.919  0.168
Te  0.250  0.750  0.828
Te  0.415  0.585  0.161
Te  0.585  0.415  0.661
Te  0.750  0.250  0.328
Te  0.919  0.081  0.668

---

> What is the formula in the second record?

PmBiTe3